1.
Starting from the PBE geometry in Alexandria, the X-ray diffraction stick pattern of CePrNO was calculated for CuKα.
Kinematic intensities with the Lorentz-polarization factor, no thermal factor.

a = 3.578 Å, b = 3.578 Å, c = 5.133 Å
α = 90.00°, β = 90.00°, γ = 90.00°
Space group P4/mmm (No. 123)
One atom of each set of equivalent atoms:
Ce 0.000 0.000 0.000 [1 per cell]
Pr 0.500 0.500 0.500 [1 per cell]
N 0.500 0.500 0.000 [1 per cell]
O 0.000 0.000 0.500 [1 per cell]

Main lines, sorted by position (15 to 90 degrees two-theta):
- 2θ 30.45, I 100
- 2θ 34.96, I 27
- 2θ 35.48, I 52
- 2θ 50.66, I 36
- 2θ 51.04, I 18
- 2θ 59.92, I 15
- 2θ 60.61, I 30
- 2θ 63.37, I 18
- 2θ 82.54, I 13
- 2θ 84.69, I 8
- 2θ 85.58, I 8
- 2θ 85.88, I 8


2.
Starting from the PBE geometry in Alexandria, the X-ray diffraction stick pattern of CePuNO was calculated for CuKα.
Kinematic intensities with the Lorentz-polarization factor, no thermal factor.

a = 3.541 Å, b = 3.541 Å, c = 4.962 Å
α = 90.00°, β = 90.00°, γ = 90.00°
Space group P4/mmm (No. 123)
One atom of each set of equivalent atoms:
Ce 0.000 0.000 0.000 [1 per cell]
Pu 0.500 0.500 0.500 [1 per cell]
N 0.500 0.500 0.000 [1 per cell]
O 0.000 0.000 0.500 [1 per cell]

Main lines, sorted by position (15 to 90 degrees two-theta):
- 2θ 31.03, I 100
- 2θ 35.87, I 48
- 2θ 36.21, I 23
- 2θ 51.63, I 17
- 2θ 51.88, I 33
- 2θ 61.47, I 31
- 2θ 61.92, I 15
- 2θ 64.68, I 17
- 2θ 84.76, I 13
- 2θ 87.03, I 8
- 2θ 87.23, I 8
- 2θ 87.83, I 8


3.
Starting from the PBE geometry in Alexandria, the X-ray diffraction stick pattern of Ce2SNO was calculated for CuKα.
Kinematic intensities with the Lorentz-polarization factor, no thermal factor.

a = 3.9340 Å, b = 3.9340 Å, c = 6.7622 Å
α = 90.00°, β = 90.00°, γ = 120.00°
Space group P3m1 (No. 156)
One atom of each set of equivalent atoms:
Ce 0.0000 0.0000 0.0000 [1 per cell]
Ce 0.3333 0.6667 0.4308 [1 per cell]
S 0.6667 0.3333 0.7132 [1 per cell]
N 0.3333 0.6667 0.0923 [1 per cell]
O 0.0000 0.0000 0.3516 [1 per cell]

Main lines, sorted by position (15 to 90 degrees two-theta):
- 2θ 26.16, I 19
- 2θ 26.36, I 20
- 2θ 29.35, I 100
- 2θ 37.47, I 31
- 2θ 46.15, I 31
- 2θ 48.42, I 22
- 2θ 53.93, I 17
- 2θ 55.64, I 17
- 2θ 61.20, I 8
- 2θ 62.69, I 10
- 2θ 75.10, I 14
- 2θ 87.18, I 8


4.
Starting from the PBE geometry in Alexandria, the X-ray diffraction stick pattern of CeUN2O was calculated for CuKα.
Kinematic intensities with the Lorentz-polarization factor, no thermal factor.

a = 3.655 Å, b = 3.655 Å, c = 10.922 Å
α = 90.00°, β = 90.00°, γ = 90.00°
Space group P4/nmm (No. 129, origin choice 2)
One atom of each set of equivalent atoms:
Ce 0.250 0.250 0.126 [2 per cell]
U 0.250 0.250 0.606 [2 per cell]
N 0.250 0.250 0.412 [2 per cell]
N 0.250 0.250 0.782 [2 per cell]
O 0.250 0.750 0.000 [2 per cell]

Main lines, sorted by position (15 to 90 degrees two-theta):
- 2θ 29.41, I 100
- 2θ 32.80, I 17
- 2θ 34.72, I 44
- 2θ 35.70, I 6
- 2θ 48.50, I 28
- 2θ 49.90, I 16
- 2θ 56.47, I 14
- 2θ 58.99, I 30
- 2θ 61.01, I 12
- 2θ 78.68, I 11
- 2θ 80.83, I 6
- 2θ 83.68, I 7


5.
Starting from the PBE geometry in Alexandria, the X-ray diffraction stick pattern of Ce2PuOsN5 was calculated for CuKα.
Kinematic intensities with the Lorentz-polarization factor, no thermal factor.

a = 6.553 Å, b = 6.553 Å, c = 11.662 Å
α = 90.00°, β = 90.00°, γ = 90.00°
Space group I4/mcm (No. 140)
One atom of each set of equivalent atoms:
Ce 0.175 0.325 0.000 [8 per cell]
Pu 0.000 0.000 0.250 [4 per cell]
Os 0.000 0.500 0.250 [4 per cell]
N 0.000 0.000 0.000 [4 per cell]
N 0.152 0.348 0.359 [16 per cell]

Main lines, sorted by position (15 to 90 degrees two-theta):
- 2θ 27.22, I 14
- 2θ 30.66, I 36
- 2θ 31.31, I 100
- 2θ 31.48, I 19
- 2θ 38.47, I 20
- 2θ 38.87, I 25
- 2θ 41.46, I 12
- 2θ 41.96, I 14
- 2θ 50.30, I 23
- 2θ 54.92, I 22
- 2θ 58.55, I 18
- 2θ 72.15, I 13


6.
Starting from the PBE geometry in Alexandria, the X-ray diffraction stick pattern of CeSm2OsN4 was calculated for CuKα.
Kinematic intensities with the Lorentz-polarization factor, no thermal factor.

a = 3.438 Å, b = 11.827 Å, c = 11.895 Å
α = 90.00°, β = 90.00°, γ = 90.00°
Space group Cmcm (No. 63)
One atom of each set of equivalent atoms:
Ce 0.000 0.114 0.250 [4 per cell]
Sm 0.000 0.369 0.045 [8 per cell]
Os 0.000 0.146 0.750 [4 per cell]
N 0.000 0.000 0.000 [4 per cell]
N 0.000 0.275 0.636 [8 per cell]
N 0.000 0.449 0.250 [4 per cell]

Main lines, sorted by position (15 to 90 degrees two-theta):
- 2θ 16.74, I 27
- 2θ 30.05, I 43
- 2θ 30.23, I 61
- 2θ 30.98, I 100
- 2θ 35.40, I 31
- 2θ 37.88, I 99
- 2θ 40.88, I 29
- 2θ 43.14, I 28
- 2θ 49.19, I 23
- 2θ 52.31, I 20
- 2θ 53.29, I 19
- 2θ 63.29, I 20


- What is the formula in the sixth record?
  CeSm2OsN4